No. 1
# La2Sm5YEr
Calculated X-ray diffraction stick pattern, Cu Kα X-rays. Input: a GGA-PBE-relaxed structure.

Atomic structure:
```
18
Lattice="2.8556 -10.1297 0.0000 2.8556 10.1297 0.0000 0.0000 0.0000 10.7806" Properties=species:S:1:pos:R:3 pbc="T T T"
La 2.8556 7.8184 5.3903
La 2.8556 7.7649 0.8912
La 2.8556 -7.7649 6.2815
La 2.8556 -7.8184 0.0000
Sm 2.8556 9.8203 8.4810
Sm 2.8556 4.4936 0.8334
Sm 2.8556 4.1117 5.0808
Sm 2.8556 2.3331 8.4900
Sm 2.8556 0.3680 5.4855
Sm 2.8556 -0.3680 0.0952
Sm 2.8556 -2.3331 3.0997
Sm 2.8556 -4.1117 10.4712
Sm 2.8556 -4.4936 6.2237
Sm 2.8556 -9.8203 3.0907
Y 2.8556 1.8583 2.4704
Y 2.8556 -1.8583 7.8607
Er 2.8556 6.0638 8.3760
Er 2.8556 -6.0638 2.9857
```

Peak list (12 most intense, 2θ = 15–90°, in order of falling intensity)
| Position (°2θ) | intensity |
| --- | --- |
| 31.76 | 100.0 |
| 29.70 | 42.1 |
| 31.32 | 40.5 |
| 56.03 | 20.9 |
| 27.68 | 18.9 |
| 33.24 | 13.9 |
| 58.60 | 13.9 |
| 60.38 | 13.3 |
| 42.29 | 12.2 |
| 50.20 | 11.6 |
| 46.32 | 11.0 |
| 26.29 | 9.1 |

---

No. 2
# LaSmY3Er
Calculated X-ray diffraction stick pattern, Cu Kα X-rays. Input: a GGA-PBE-relaxed structure.

Atomic structure:
```
12
Lattice="2.9486 -5.7489 0.0000 2.9486 5.7489 0.0000 0.0000 0.0000 11.7945" Properties=species:S:1:pos:R:3 pbc="T T T"
La 2.9486 5.6731 8.8459
La 2.9486 -5.6731 2.9486
Sm 2.9486 0.0000 0.0000
Sm 2.9486 0.0000 5.8972
Y 2.9486 3.7452 0.0573
Y 2.9486 3.7452 5.8400
Y 2.9486 1.9882 8.8459
Y 2.9486 -1.9882 2.9486
Y 2.9486 -3.7452 5.9545
Y 2.9486 -3.7452 11.7372
Er 2.9486 1.9356 2.9486
Er 2.9486 -1.9356 8.8459
```

Peak list (12 most intense, 2θ = 15–90°, in order of falling intensity)
| Position (°2θ) | intensity |
| --- | --- |
| 31.71 | 100.0 |
| 30.31 | 56.9 |
| 54.74 | 41.9 |
| 43.40 | 21.1 |
| 57.34 | 17.7 |
| 66.24 | 11.3 |
| 88.26 | 10.9 |
| 71.55 | 9.3 |
| 72.31 | 9.0 |
| 47.44 | 7.8 |
| 63.05 | 6.8 |
| 78.27 | 6.8 |

---

No. 3
# LaSmErZn
Calculated X-ray diffraction stick pattern, Cu Kα X-rays. Input: a GGA-PBE-relaxed structure.

Atomic structure:
```
4
Lattice="3.6217 0.0000 0.0000 0.0000 3.6217 0.0000 0.0000 0.0000 8.8179" Properties=species:S:1:pos:R:3 pbc="T T T"
La 0.0000 0.0000 0.0000
Sm 1.8108 1.8108 6.1210
Er 1.8108 1.8108 2.5958
Zn 0.0000 0.0000 4.2529
```

Peak list (12 most intense, 2θ = 15–90°, in order of falling intensity)
| Position (°2θ) | intensity |
| --- | --- |
| 31.98 | 100.0 |
| 35.04 | 50.3 |
| 60.94 | 31.2 |
| 26.61 | 19.9 |
| 50.39 | 17.9 |
| 47.06 | 16.7 |
| 30.41 | 13.8 |
| 58.18 | 12.8 |
| 80.52 | 10.2 |
| 39.48 | 9.9 |
| 54.96 | 9.0 |
| 60.00 | 8.2 |

---

No. 4
# La2Er3Sn4
Calculated X-ray diffraction stick pattern, Cu Kα X-rays. Input: a GGA-PBE-relaxed structure.

Atomic structure:
```
18
Lattice="8.3485 0.0000 0.0000 0.0000 8.3532 0.0000 -2.8080 0.0000 7.6052" Properties=species:S:1:pos:R:3 pbc="T T T"
La 1.4258 1.4702 0.4782
La 0.0218 2.7064 4.2808
La 5.5187 5.6468 3.3244
La 4.1146 6.8830 7.1270
Er 1.3911 5.5674 1.8578
Er -0.0129 6.9624 5.6604
Er 2.7702 0.0000 3.8026
Er 4.1742 4.1766 0.0000
Er 5.5533 1.3908 1.9448
Er 4.1493 2.7858 5.7474
Sn -1.6805 4.5226 6.4426
Sn -0.2765 8.0072 2.6399
Sn 1.6877 1.1238 6.5591
Sn 3.0917 3.0527 2.7565
Sn 2.4487 5.3004 4.8487
Sn 3.8527 7.2293 1.0461
Sn 5.8169 0.3460 4.9653
Sn 7.2209 3.8306 1.1627
```

Peak list (12 most intense, 2θ = 15–90°, in order of falling intensity)
| Position (°2θ) | intensity |
| --- | --- |
| 31.36 | 100.0 |
| 34.31 | 78.8 |
| 34.89 | 76.4 |
| 30.52 | 74.2 |
| 30.95 | 51.0 |
| 28.56 | 45.3 |
| 45.01 | 14.8 |
| 49.17 | 14.5 |
| 49.79 | 13.6 |
| 36.28 | 13.1 |
| 35.98 | 13.0 |
| 65.29 | 11.7 |

---

No. 5
# La3ErSn4
Calculated X-ray diffraction stick pattern, Cu Kα X-rays. Input: a GGA-PBE-relaxed structure.

Atomic structure:
```
8
Lattice="-2.0920 3.5820 8.8524 2.0920 -3.5820 8.8524 2.0920 3.5820 -8.8524" Properties=species:S:1:pos:R:3 pbc="T T T"
La 0.0000 0.0000 0.0000
La 2.0920 0.0000 5.2406
La 0.0000 3.5820 3.6118
Er 0.0000 0.0000 8.8524
Sn 2.0920 1.4741 -2.2398
Sn 2.0920 1.4741 2.2398
Sn 0.0000 2.1080 6.6126
Sn 0.0000 2.1080 11.0921
```

Peak list (12 most intense, 2θ = 15–90°, in order of falling intensity)
| Position (°2θ) | intensity |
| --- | --- |
| 26.65 | 100.0 |
| 32.15 | 73.6 |
| 36.36 | 45.0 |
| 54.89 | 32.9 |
| 33.14 | 32.4 |
| 43.25 | 27.2 |
| 61.25 | 24.9 |
| 21.83 | 23.6 |
| 44.89 | 23.6 |
| 28.11 | 23.2 |
| 31.98 | 23.2 |
| 33.31 | 22.6 |

---

No. 6
# La2ErSn3
Calculated X-ray diffraction stick pattern, Cu Kα X-rays. Input: a GGA-PBE-relaxed structure.

Atomic structure:
```
12
Lattice="8.2320 -3.2266 0.0000 8.2320 3.2266 0.0000 -1.6664 0.0000 7.2248" Properties=species:S:1:pos:R:3 pbc="T T T"
La 2.6266 0.0105 0.6070
La 1.7933 -0.0105 4.2194
La 13.0043 0.0105 3.0054
La 12.1711 -0.0105 6.6178
Er 7.8154 0.0139 1.8062
Er 6.9822 -0.0139 5.4186
Sn 6.9822 3.2110 5.4186
Sn 4.9034 0.0107 3.0364
Sn 4.0702 -0.0107 6.6488
Sn 10.7274 0.0107 0.5760
Sn 9.8942 -0.0107 4.1884
Sn 7.8154 -3.2110 1.8062
```

Peak list (12 most intense, 2θ = 15–90°, in order of falling intensity)
| Position (°2θ) | intensity |
| --- | --- |
| 29.31 | 100.0 |
| 40.73 | 83.1 |
| 27.65 | 58.3 |
| 33.52 | 34.7 |
| 43.98 | 33.5 |
| 57.34 | 30.3 |
| 65.46 | 20.8 |
| 64.83 | 20.5 |
| 68.06 | 18.3 |
| 60.80 | 12.7 |
| 49.15 | 12.2 |
| 86.22 | 10.5 |

---

No. 7
# LaEr2Ta
Calculated X-ray diffraction stick pattern, Cu Kα X-rays. Input: a GGA-PBE-relaxed structure.

Atomic structure:
```
4
Lattice="1.6418 0.9479 11.8475 -1.6418 0.9479 11.8475 0.0000 -1.8958 11.8475" Properties=species:S:1:pos:R:3 pbc="T T T"
La 0.0000 0.0000 0.0000
Er 0.0000 0.0000 14.8638
Er 0.0000 0.0000 20.6786
Ta 0.0000 0.0000 17.7712
```

Peak list (12 most intense, 2θ = 15–90°, in order of falling intensity)
| Position (°2θ) | intensity |
| --- | --- |
| 31.87 | 100.0 |
| 30.17 | 67.4 |
| 31.56 | 47.1 |
| 64.94 | 45.8 |
| 40.63 | 44.8 |
| 48.04 | 36.4 |
| 56.01 | 36.0 |
| 33.95 | 20.0 |
| 89.02 | 19.9 |
| 36.21 | 19.6 |
| 42.34 | 18.7 |
| 46.05 | 18.6 |

---

No. 8
# La2TbEr5
Calculated X-ray diffraction stick pattern, Cu Kα X-rays. Input: a GGA-PBE-relaxed structure.

Atomic structure:
```
8
Lattice="-2.5458 2.5458 9.9752 2.5458 -2.5458 9.9752 2.5458 2.5458 -9.9752" Properties=species:S:1:pos:R:3 pbc="T T T"
La 0.0000 0.0000 4.9905
La 0.0000 0.0000 14.9600
Tb 0.0000 0.0000 0.0000
Er 2.5458 0.0000 2.4228
Er 2.5458 0.0000 7.5524
Er 0.0000 0.0000 9.9752
Er 0.0000 2.5458 2.4228
Er 0.0000 2.5458 7.5524
```

Peak list (12 most intense, 2θ = 15–90°, in order of falling intensity)
| Position (°2θ) | intensity |
| --- | --- |
| 30.62 | 100.0 |
| 35.25 | 34.6 |
| 60.41 | 29.1 |
| 51.28 | 23.5 |
| 36.01 | 16.0 |
| 61.43 | 13.4 |
| 50.71 | 12.4 |
| 63.76 | 12.2 |
| 83.60 | 11.4 |
| 82.71 | 6.0 |
| 85.24 | 5.7 |
| 85.68 | 5.5 |

---

No. 9
# LaTbEr14
Calculated X-ray diffraction stick pattern, Cu Kα X-rays. Input: a GGA-PBE-relaxed structure.

Atomic structure:
```
16
Lattice="11.4003 0.0000 0.0000 0.0000 3.5465 6.1345 0.0000 -3.5465 6.1345" Properties=species:S:1:pos:R:3 pbc="T T T"
La 0.0000 0.0000 0.0000
Tb 0.0000 0.0000 6.1346
Er 0.0000 -1.7729 3.0703
Er 0.0000 1.7729 3.0703
Er 2.8557 0.0000 8.1841
Er 2.8877 0.0000 2.0569
Er 2.8956 -1.7686 5.1122
Er 2.8956 1.7686 5.1122
Er 5.7001 0.0000 4.0968
Er 5.7001 -1.7699 7.1674
Er 5.7001 0.0000 10.2246
Er 5.7001 1.7699 7.1674
Er 8.5046 -1.7686 5.1122
Er 8.5046 1.7686 5.1122
Er 8.5126 0.0000 2.0569
Er 8.5446 0.0000 8.1841
```

Peak list (12 most intense, 2θ = 15–90°, in order of falling intensity)
| Position (°2θ) | intensity |
| --- | --- |
| 33.15 | 100.0 |
| 30.15 | 41.2 |
| 31.39 | 33.8 |
| 61.63 | 29.8 |
| 51.58 | 25.5 |
| 37.67 | 22.9 |
| 57.00 | 21.3 |
| 62.69 | 16.1 |
| 87.93 | 12.8 |
| 49.82 | 10.4 |
| 85.37 | 9.4 |
| 29.09 | 8.4 |

---

No. 10
# La4TbEr2
Calculated X-ray diffraction stick pattern, Cu Kα X-rays. Input: a GGA-PBE-relaxed structure.

Atomic structure:
```
14
Lattice="-3.4834 5.7880 6.0603 3.4834 -5.7880 6.0603 3.4834 5.7880 -6.0603" Properties=species:S:1:pos:R:3 pbc="T T T"
La 3.4834 5.7842 -4.2012
La 1.5174 2.8940 0.0919
La 1.9661 -2.8940 6.1522
La 3.4834 -0.0038 4.2012
La 0.0000 5.7918 1.8591
La 1.5174 8.6820 -0.0919
La 1.9661 2.8940 5.9684
La 0.0000 0.0038 10.2615
Tb 1.7417 2.8940 -3.0302
Tb 1.7417 -2.8940 3.0302
Er 3.4834 0.0000 0.0000
Er 3.4834 2.8940 2.6037
Er 0.0000 0.0000 6.0603
Er 0.0000 2.8940 3.4566
```

Peak list (12 most intense, 2θ = 15–90°, in order of falling intensity)
| Position (°2θ) | intensity |
| --- | --- |
| 29.89 | 100.0 |
| 30.90 | 42.6 |
| 33.41 | 33.8 |
| 27.74 | 19.7 |
| 54.33 | 18.7 |
| 25.50 | 12.2 |
| 34.88 | 12.1 |
| 52.56 | 11.9 |
| 29.48 | 10.7 |
| 35.50 | 10.4 |
| 62.21 | 9.7 |
| 43.24 | 9.5 |

---

No. 11
# La4TbEr5
Calculated X-ray diffraction stick pattern, Cu Kα X-rays. Input: a GGA-PBE-relaxed structure.

Atomic structure:
```
20
Lattice="10.8200 0.0000 0.0000 0.0000 10.8200 0.0000 0.0000 0.0000 5.7295" Properties=species:S:1:pos:R:3 pbc="T T T"
La 0.4781 8.1150 0.6831
La 2.7050 5.8881 5.0465
La 2.7050 10.3420 5.0465
La 4.9320 8.1150 0.6831
La 5.8881 2.7050 5.0465
La 8.1150 0.4781 0.6831
La 8.1150 4.9320 0.6831
La 10.3420 2.7050 5.0465
Tb 2.7050 2.7050 5.1295
Tb 8.1150 8.1150 0.6000
Er 0.9934 0.9934 2.0351
Er 0.9934 4.4166 2.0351
Er 2.7050 8.1150 2.8648
Er 4.4166 0.9934 2.0351
Er 4.4166 4.4166 2.0351
Er 6.4034 6.4034 3.6944
Er 6.4034 9.8266 3.6944
Er 8.1150 2.7050 2.8648
Er 9.8266 6.4034 3.6944
Er 9.8266 9.8266 3.6944
```

Peak list (12 most intense, 2θ = 15–90°, in order of falling intensity)
| Position (°2θ) | intensity |
| --- | --- |
| 29.26 | 100.0 |
| 30.43 | 74.7 |
| 32.33 | 43.1 |
| 35.19 | 38.1 |
| 53.03 | 37.6 |
| 50.63 | 25.8 |
| 28.05 | 25.6 |
| 67.98 | 18.2 |
| 36.74 | 17.0 |
| 59.54 | 17.0 |
| 69.04 | 13.7 |
| 54.36 | 12.2 |

---

No. 12
# La2Tb3Er
Calculated X-ray diffraction stick pattern, Cu Kα X-rays. Input: a GGA-PBE-relaxed structure.

Atomic structure:
```
12
Lattice="5.1869 -5.7732 0.0000 5.1869 5.7732 0.0000 -0.0374 0.0000 6.7451" Properties=species:S:1:pos:R:3 pbc="T T T"
La 3.4071 3.0022 5.0711
La 6.9105 3.0022 5.0464
La 3.4259 -3.0022 1.6986
La 6.9292 -3.0022 1.6739
Tb 5.1775 2.7053 1.6863
Tb 3.4366 0.0066 3.3773
Tb 3.4553 -0.0066 0.0048
Tb 6.8811 0.0066 6.7403
Tb 6.8998 -0.0066 3.3677
Tb 5.1588 -2.7053 5.0588
Er 0.0000 0.0000 0.0000
Er -0.0187 0.0000 3.3725
```

Peak list (12 most intense, 2θ = 15–90°, in order of falling intensity)
| Position (°2θ) | intensity |
| --- | --- |
| 30.70 | 100.0 |
| 30.98 | 47.2 |
| 26.92 | 34.1 |
| 34.88 | 29.0 |
| 54.94 | 27.5 |
| 62.62 | 25.7 |
| 29.99 | 23.9 |
| 30.12 | 23.7 |
| 62.34 | 21.1 |
| 37.97 | 18.2 |
| 38.18 | 17.9 |
| 63.92 | 14.2 |

---

No. 13
# La2Tb5Er4
Calculated X-ray diffraction stick pattern, Cu Kα X-rays. Input: a GGA-PBE-relaxed structure.

Atomic structure:
```
11
Lattice="3.5584 0.0000 0.0000 1.4496 8.7796 0.0000 0.8582 1.3139 11.5047" Properties=species:S:1:pos:R:3 pbc="T T T"
La 1.0462 0.8892 3.9788
La 4.8199 9.2043 7.5259
Tb 0.7248 4.3898 0.0000
Tb 2.1113 6.4814 5.4320
Tb 3.1914 8.7342 10.7725
Tb 2.6748 1.3592 0.7322
Tb 3.7549 3.6120 6.0727
Er 1.7580 3.1032 9.1709
Er 2.3681 4.0730 2.9923
Er 3.4981 6.0205 8.5124
Er 4.1081 6.9903 2.3338
```

Peak list (12 most intense, 2θ = 15–90°, in order of falling intensity)
| Position (°2θ) | intensity |
| --- | --- |
| 32.79 | 100.0 |
| 30.85 | 94.4 |
| 31.63 | 76.3 |
| 32.07 | 67.7 |
| 33.01 | 61.1 |
| 29.09 | 42.6 |
| 35.91 | 27.0 |
| 56.86 | 25.0 |
| 49.79 | 24.7 |
| 59.86 | 22.1 |
| 41.24 | 18.6 |
| 64.29 | 18.6 |